No. 1
Calculated X-ray diffraction stick pattern
Compound: PmPr2Sn6
Radiation: copper Kα
Structure: a cell relaxed with PBE
Intensities are scaled so that the largest is 100.

Top 10 peaks for 2θ from 10° to 90°, in order of rising 2θ:
| 2theta | d_spacing | I/Imax |
| --- | --- | --- |
| 25.58 | 3.483 | 10 |
| 31.34 | 2.854 | 14 |
| 32.66 | 2.742 | 100 |
| 32.93 | 2.720 | 15 |
| 39.77 | 2.267 | 19 |
| 40.58 | 2.223 | 12 |
| 41.74 | 2.164 | 19 |
| 59.00 | 1.566 | 8 |
| 62.04 | 1.496 | 12 |
| 67.72 | 1.384 | 13 |

Atomic structure:
```
PmPr2Sn6
1.0
-2.2667 3.5060 8.6238
2.2667 -3.5060 8.6238
2.2667 3.5060 -8.6238
Pm Pr Sn
1 2 6
direct
0.0000 0.0000 0.0000
0.4410 0.9410 0.5000
0.6735 0.1735 0.5000
0.0400 0.7499 0.2902
0.0752 0.3649 0.7103
0.3460 0.5640 0.7820
0.4597 0.7499 0.7098
0.6545 0.3649 0.2897
0.7820 0.5640 0.2180
```

No. 2
Calculated X-ray diffraction stick pattern
Compound: Pm5Pr3Sn
Radiation: copper Kα
Structure: a cell relaxed with PBE
Intensities are scaled so that the largest is 100.

Top 10 peaks for 2θ from 10° to 90°, in order of rising 2θ:
| 2theta | d_spacing | I/Imax |
| --- | --- | --- |
| 24.98 | 3.564 | 28 |
| 29.75 | 3.003 | 25 |
| 30.63 | 2.918 | 100 |
| 30.93 | 2.891 | 94 |
| 31.37 | 2.852 | 27 |
| 31.69 | 2.824 | 83 |
| 32.12 | 2.787 | 18 |
| 32.33 | 2.769 | 58 |
| 33.30 | 2.691 | 39 |
| 41.49 | 2.176 | 18 |

Atomic structure:
```
Pm5Pr3Sn
1.0
5.8945 0.0000 0.0000
1.9455 9.3860 0.0000
1.9630 0.9570 11.1447
Pm Pr Sn
10 6 2
direct
0.0316 0.3904 0.3662
0.1377 0.6180 0.0331
0.3680 0.2484 0.0801
0.4136 0.4519 0.7829
0.4618 0.9457 0.2292
0.5382 0.0543 0.7708
0.5864 0.5481 0.2171
0.6320 0.7516 0.9199
0.8623 0.3820 0.9669
0.9684 0.6096 0.6338
0.0000 0.0000 0.0000
0.0000 0.0000 0.5000
0.0012 0.7609 0.3065
0.4891 0.7127 0.5059
0.5109 0.2873 0.4941
0.9988 0.2391 0.6935
0.1643 0.8350 0.7617
0.8357 0.1650 0.2383
```

No. 3
Calculated X-ray diffraction stick pattern
Compound: Pm2PrSn6
Radiation: copper Kα
Structure: a cell relaxed with PBE
Intensities are scaled so that the largest is 100.

Top 10 peaks for 2θ from 10° to 90°, in order of rising 2θ:
| 2theta | d_spacing | I/Imax |
| --- | --- | --- |
| 25.72 | 3.464 | 11 |
| 31.50 | 2.840 | 15 |
| 32.79 | 2.731 | 100 |
| 32.93 | 2.720 | 15 |
| 40.14 | 2.247 | 19 |
| 40.64 | 2.220 | 11 |
| 41.66 | 2.168 | 13 |
| 62.17 | 1.493 | 12 |
| 62.94 | 1.477 | 12 |
| 68.30 | 1.373 | 12 |

Atomic structure:
```
Pm2PrSn6
1.0
-2.2467 3.5137 8.5926
2.2467 -3.5137 8.5926
2.2467 3.5137 -8.5926
Pm Pr Sn
2 1 6
direct
0.0000 0.0000 0.0000
0.2341 0.2341 0.0000
0.6730 0.1730 0.5000
0.0214 0.8098 0.2116
0.2162 0.4259 0.7903
0.3215 0.6101 0.7114
0.5982 0.8098 0.7884
0.6355 0.4259 0.2097
0.8987 0.6101 0.2886
```

No. 4
Calculated X-ray diffraction stick pattern
Compound: Pm3Pr3Sn5
Radiation: copper Kα
Structure: a cell relaxed with PBE
Intensities are scaled so that the largest is 100.

Top 10 peaks for 2θ from 10° to 90°, in order of rising 2θ:
| 2theta | d_spacing | I/Imax |
| --- | --- | --- |
| 24.79 | 3.591 | 35 |
| 25.53 | 3.489 | 16 |
| 28.18 | 3.167 | 35 |
| 30.36 | 2.944 | 100 |
| 32.65 | 2.743 | 19 |
| 34.02 | 2.635 | 65 |
| 35.89 | 2.502 | 17 |
| 43.01 | 2.103 | 71 |
| 64.01 | 1.455 | 21 |
| 67.12 | 1.395 | 25 |

Atomic structure:
```
Pm3Pr3Sn5
1.0
10.9711 0.0000 0.0000
-5.4856 9.5013 0.0000
0.0000 0.0000 3.4889
Pm Pr Sn
3 3 5
direct
0.0000 0.4276 0.0000
0.4276 0.0000 0.0000
0.5724 0.5724 0.0000
0.0000 0.6977 0.5000
0.3023 0.3023 0.5000
0.6977 0.0000 0.5000
0.0000 0.1575 0.0000
0.1575 0.0000 0.0000
0.3333 0.6667 0.0000
0.6667 0.3333 0.0000
0.8425 0.8425 0.0000
```

No. 5
Calculated X-ray diffraction stick pattern
Compound: Pm2PrSn4
Radiation: copper Kα
Structure: a cell relaxed with PBE
Intensities are scaled so that the largest is 100.

Top 10 peaks for 2θ from 10° to 90°, in order of rising 2θ:
| 2theta | d_spacing | I/Imax |
| --- | --- | --- |
| 23.37 | 3.806 | 26 |
| 28.63 | 3.118 | 100 |
| 30.47 | 2.934 | 83 |
| 30.69 | 2.913 | 75 |
| 34.75 | 2.582 | 67 |
| 35.73 | 2.513 | 76 |
| 36.31 | 2.474 | 70 |
| 44.80 | 2.023 | 27 |
| 45.94 | 1.976 | 24 |
| 68.98 | 1.361 | 22 |

Atomic structure:
```
Pm2PrSn4
1.0
-4.6059 4.6059 4.9697
4.6059 -4.6059 4.9697
4.6059 4.6059 -4.9697
Pm Pr Sn
4 2 8
direct
0.0071 0.6250 0.8821
0.3750 0.2571 0.3821
0.7429 0.1250 0.1179
0.8750 0.9929 0.6179
0.2500 0.7500 0.5000
0.5000 0.5000 0.0000
0.1034 0.3620 0.0740
0.1120 0.3534 0.5740
0.2879 0.0293 0.9260
0.4621 0.8880 0.2414
0.6380 0.7121 0.7414
0.6466 0.2207 0.7586
0.7793 0.5379 0.4260
0.9707 0.8966 0.2586
```

No. 6
Calculated X-ray diffraction stick pattern
Compound: Pm3Pr2Sn4
Radiation: copper Kα
Structure: a cell relaxed with PBE
Intensities are scaled so that the largest is 100.

Top 10 peaks for 2θ from 10° to 90°, in order of rising 2θ:
| 2theta | d_spacing | I/Imax |
| --- | --- | --- |
| 28.09 | 3.177 | 78 |
| 29.93 | 2.986 | 100 |
| 30.42 | 2.938 | 83 |
| 30.66 | 2.916 | 56 |
| 30.91 | 2.893 | 99 |
| 33.62 | 2.666 | 98 |
| 33.73 | 2.657 | 36 |
| 34.53 | 2.598 | 82 |
| 44.05 | 2.056 | 22 |
| 64.42 | 1.446 | 24 |

Atomic structure:
```
Pm3Pr2Sn4
1.0
8.5070 0.0000 0.0000
0.0000 8.5325 0.0000
-2.8095 0.0000 7.6865
Pm Pr Sn
6 4 8
direct
0.0000 0.0000 0.0000
0.0000 0.5000 0.5000
0.2540 0.1708 0.7585
0.2540 0.3292 0.2585
0.7460 0.6708 0.7415
0.7460 0.8292 0.2415
0.3063 0.6799 0.9336
0.3063 0.8201 0.4336
0.6937 0.1799 0.5664
0.6937 0.3201 0.0664
0.0139 0.6331 0.1340
0.0139 0.8669 0.6340
0.4189 0.0367 0.1584
0.4189 0.4633 0.6584
0.5811 0.5367 0.3416
0.5811 0.9633 0.8416
0.9861 0.1331 0.3660
0.9861 0.3669 0.8660
```

No. 7
Calculated X-ray diffraction stick pattern
Compound: Pm12PrSn7
Radiation: copper Kα
Structure: a cell relaxed with PBE
Intensities are scaled so that the largest is 100.

Top 10 peaks for 2θ from 10° to 90°, in order of rising 2θ:
| 2theta | d_spacing | I/Imax |
| --- | --- | --- |
| 23.88 | 3.727 | 18 |
| 28.05 | 3.181 | 54 |
| 30.10 | 2.969 | 22 |
| 30.31 | 2.949 | 24 |
| 31.04 | 2.881 | 100 |
| 34.20 | 2.622 | 82 |
| 36.15 | 2.485 | 62 |
| 50.61 | 1.803 | 25 |
| 51.23 | 1.783 | 33 |
| 62.51 | 1.486 | 27 |

Atomic structure:
```
Pm12PrSn7
1.0
7.8647 4.5407 2.9686
-7.8647 4.5407 2.9686
0.0000 -9.0814 2.9686
Pm Pr Sn
12 1 7
direct
0.0000 0.2734 0.7266
0.0000 0.7266 0.2734
0.1612 0.4914 0.4914
0.2734 0.0000 0.7266
0.2734 0.7266 0.0000
0.4914 0.1612 0.4914
0.4914 0.4914 0.1612
0.5086 0.5086 0.8388
0.5086 0.8388 0.5086
0.7266 0.0000 0.2734
0.7266 0.2734 0.0000
0.8388 0.5086 0.5086
0.0000 0.0000 0.0000
0.1377 0.1377 0.4517
0.1377 0.4517 0.1377
0.4517 0.1377 0.1377
0.5000 0.5000 0.5000
0.5483 0.8623 0.8623
0.8623 0.5483 0.8623
0.8623 0.8623 0.5483
```

No. 8
Calculated X-ray diffraction stick pattern
Compound: Pm3Pr5Sn4
Radiation: copper Kα
Structure: a cell relaxed with PBE
Intensities are scaled so that the largest is 100.

Top 10 peaks for 2θ from 10° to 90°, in order of rising 2θ:
| 2theta | d_spacing | I/Imax |
| --- | --- | --- |
| 28.10 | 3.176 | 87 |
| 29.24 | 3.054 | 17 |
| 29.40 | 3.038 | 100 |
| 30.13 | 2.966 | 19 |
| 37.23 | 2.415 | 20 |
| 41.06 | 2.198 | 59 |
| 41.12 | 2.195 | 36 |
| 47.27 | 1.923 | 20 |
| 55.19 | 1.664 | 14 |
| 66.38 | 1.408 | 23 |

Atomic structure:
```
Pm3Pr5Sn4
1.0
6.3352 -3.1779 0.0000
6.3352 3.1779 0.0000
-0.0544 0.0000 10.4269
Pm Pr Sn
3 5 4
direct
0.0000 0.0000 0.0000
0.2680 0.2680 0.1725
0.7320 0.7320 0.8275
0.1675 0.1675 0.5679
0.4454 0.4454 0.6726
0.5000 0.5000 0.0000
0.5546 0.5546 0.3274
0.8325 0.8325 0.4321
0.0521 0.0521 0.3003
0.2448 0.2448 0.8675
0.7552 0.7552 0.1325
0.9479 0.9479 0.6997
```